The following is a simulated powder X-ray diffraction pattern of Pm3Nd3Zn2. It was derived from a cell relaxed with PBE, using a wavelength of 1.5418 Å.
Neutral-atom scattering factors, no anomalous dispersion.

Top 6 peaks for 10° ≤ 2θ ≤ 90°, low angle first:
2θ/deg, d_spacing, Rel. int.
28.50, 3.132, 33
29.55, 3.023, 100
30.75, 2.908, 34
33.37, 2.685, 48
34.29, 2.615, 31
34.47, 2.602, 51

Crystal structure
Lattice parameters (Å, degrees): 6.431 6.431 15.655 90.00 90.00 132.27
Positions (direct):
Pm: 0.050 0.950 0.750
Pm: 0.150 0.850 0.024
Pm: 0.150 0.850 0.476
Pm: 0.850 0.150 0.524
Pm: 0.850 0.150 0.976
Pm: 0.950 0.050 0.250
Nd: 0.227 0.773 0.250
Nd: 0.472 0.528 0.109
Nd: 0.472 0.528 0.391
Nd: 0.528 0.472 0.609
Nd: 0.528 0.472 0.891
Nd: 0.773 0.227 0.750
Zn: 0.269 0.731 0.645
Zn: 0.269 0.731 0.855
Zn: 0.731 0.269 0.145
Zn: 0.731 0.269 0.355

The following is a simulated powder X-ray diffraction pattern of Pm3Nd4Zn. It was derived from a cell relaxed with PBE, using a wavelength of 1.5418 Å.
Neutral-atom scattering factors, no anomalous dispersion.

Top 6 peaks for 10° ≤ 2θ ≤ 90°, low angle first:
2θ/deg, d_spacing, Rel. int.
27.96, 3.191, 17
30.61, 2.921, 100
34.46, 2.603, 46
48.20, 1.888, 15
49.53, 1.840, 16
59.36, 1.557, 30

Crystal structure
Lattice parameters (Å, degrees): 3.681 3.681 19.202 90.00 90.00 90.00
Positions (direct):
Pm: 0.000 0.000 0.000
Pm: 0.000 0.000 0.268
Pm: 0.000 0.000 0.732
Nd: 0.500 0.500 0.134
Nd: 0.500 0.500 0.405
Nd: 0.500 0.500 0.595
Nd: 0.500 0.500 0.866
Zn: 0.000 0.000 0.500

The following is a simulated powder X-ray diffraction pattern of PmNd2Zn2. It was derived from a cell relaxed with PBE, using a wavelength of 1.5418 Å.
Neutral-atom scattering factors, no anomalous dispersion.

Top 6 peaks for 10° ≤ 2θ ≤ 90°, low angle first:
2θ/deg, d_spacing, Rel. int.
25.81, 3.451, 18
32.76, 2.734, 19
33.68, 2.661, 100
33.91, 2.643, 28
47.87, 1.900, 13
60.54, 1.529, 18

Crystal structure
Lattice parameters (Å, degrees): 3.726 5.287 13.797 90.00 97.79 90.00
Positions (direct):
Pm: 0.143 0.250 0.283
Pm: 0.857 0.750 0.717
Nd: 0.046 0.750 0.092
Nd: 0.231 0.750 0.464
Nd: 0.769 0.250 0.536
Nd: 0.954 0.250 0.908
Zn: 0.360 0.250 0.722
Zn: 0.450 0.750 0.901
Zn: 0.550 0.250 0.099
Zn: 0.640 0.750 0.278

The following is a simulated powder X-ray diffraction pattern of PmNd3Zn. It was derived from a cell relaxed with PBE, using a wavelength of 1.5418 Å.
Neutral-atom scattering factors, no anomalous dispersion.

Top 6 peaks for 10° ≤ 2θ ≤ 90°, low angle first:
2θ/deg, d_spacing, Rel. int.
30.65, 2.917, 32
31.37, 2.852, 58
31.89, 2.806, 97
33.11, 2.706, 100
48.75, 1.868, 20
57.72, 1.597, 33

Crystal structure
Lattice parameters (Å, degrees): 6.577 6.577 13.264 93.63 93.63 33.00
Positions (direct):
Pm: 0.202 0.202 0.277
Pm: 0.798 0.798 0.723
Nd: 0.067 0.067 0.814
Nd: 0.133 0.133 0.538
Nd: 0.362 0.362 0.949
Nd: 0.638 0.638 0.051
Nd: 0.867 0.867 0.462
Nd: 0.933 0.933 0.186
Zn: 0.469 0.469 0.640
Zn: 0.531 0.531 0.360

The following is a simulated powder X-ray diffraction pattern of Pr2Nd13. It was derived from a cell relaxed with PBE, using a wavelength of 1.5418 Å.
Neutral-atom scattering factors, no anomalous dispersion.

Top 6 peaks for 10° ≤ 2θ ≤ 90°, low angle first:
2θ/deg, d_spacing, Rel. int.
29.46, 3.032, 40
30.44, 2.936, 54
30.82, 2.901, 100
30.95, 2.889, 96
42.87, 2.109, 29
60.31, 1.535, 29

Crystal structure
Lattice parameters (Å, degrees): 6.896 9.027 9.319 68.88 82.55 80.07
Positions (direct):
Pr: 0.200 0.303 0.399
Pr: 0.800 0.697 0.601
Nd: 0.000 0.500 0.000
Nd: 0.097 0.920 0.693
Nd: 0.134 0.698 0.267
Nd: 0.237 0.079 0.974
Nd: 0.334 0.500 0.667
Nd: 0.430 0.921 0.359
Nd: 0.467 0.697 0.935
Nd: 0.533 0.303 0.065
Nd: 0.570 0.079 0.641
Nd: 0.666 0.500 0.333
Nd: 0.763 0.921 0.026
Nd: 0.866 0.302 0.733
Nd: 0.903 0.080 0.307

The following is a simulated powder X-ray diffraction pattern of Pr4Nd. It was derived from a cell relaxed with PBE, using a wavelength of 1.5418 Å.
Neutral-atom scattering factors, no anomalous dispersion.

Top 6 peaks for 10° ≤ 2θ ≤ 90°, low angle first:
2θ/deg, d_spacing, Rel. int.
29.50, 3.028, 100
34.12, 2.628, 17
34.23, 2.620, 34
49.11, 1.855, 24
58.36, 1.581, 18
58.43, 1.579, 14

Crystal structure
Lattice parameters (Å, degrees): 6.437 3.704 15.279 90.00 98.19 90.00
Positions (direct):
Pr: 0.102 0.000 0.301
Pr: 0.199 0.500 0.100
Pr: 0.301 0.000 0.900
Pr: 0.398 0.500 0.699
Pr: 0.602 0.500 0.301
Pr: 0.699 0.000 0.100
Pr: 0.801 0.500 0.900
Pr: 0.898 0.000 0.699
Nd: 0.000 0.500 0.500
Nd: 0.500 0.000 0.500

The following is a simulated powder X-ray diffraction pattern of Pr5Nd6. It was derived from a cell relaxed with PBE, using a wavelength of 1.5418 Å.
Neutral-atom scattering factors, no anomalous dispersion.

Top 6 peaks for 10° ≤ 2θ ≤ 90°, low angle first:
2θ/deg, d_spacing, Rel. int.
28.80, 3.100, 22
30.98, 2.887, 100
31.47, 2.842, 11
32.27, 2.774, 10
32.90, 2.723, 10
55.15, 1.665, 14

Crystal structure
Lattice parameters (Å, degrees): 9.636 9.636 9.636 145.18 128.02 64.09
Positions (direct):
Pr: 0.000 0.000 0.000
Pr: 0.160 0.660 0.500
Pr: 0.300 0.300 0.000
Pr: 0.700 0.700 0.000
Pr: 0.840 0.340 0.500
Nd: 0.158 0.863 0.295
Nd: 0.294 0.500 0.794
Nd: 0.432 0.137 0.295
Nd: 0.568 0.863 0.705
Nd: 0.706 0.500 0.206
Nd: 0.842 0.137 0.705

The following is a simulated powder X-ray diffraction pattern of Pr7Nd5. It was derived from a cell relaxed with PBE, using a wavelength of 1.5418 Å.
Neutral-atom scattering factors, no anomalous dispersion.

Top 6 peaks for 10° ≤ 2θ ≤ 90°, low angle first:
2θ/deg, d_spacing, Rel. int.
28.69, 3.111, 42
29.81, 2.997, 34
31.53, 2.838, 100
35.80, 2.508, 24
48.97, 1.860, 26
58.39, 1.580, 31

Crystal structure
Lattice parameters (Å, degrees): 9.848 9.848 13.615 117.74 117.74 21.76
Positions (direct):
Pr: 0.000 0.000 0.000
Pr: 0.140 0.140 0.750
Pr: 0.167 0.167 0.501
Pr: 0.473 0.473 0.750
Pr: 0.527 0.527 0.250
Pr: 0.833 0.833 0.499
Pr: 0.860 0.860 0.250
Nd: 0.194 0.194 0.249
Nd: 0.333 0.333 0.999
Nd: 0.500 0.500 0.500
Nd: 0.667 0.667 0.001
Nd: 0.806 0.806 0.751

The following is a simulated powder X-ray diffraction pattern of Pr5Nd. It was derived from a cell relaxed with PBE, using a wavelength of 1.5418 Å.
Neutral-atom scattering factors, no anomalous dispersion.

Top 6 peaks for 10° ≤ 2θ ≤ 90°, low angle first:
2θ/deg, d_spacing, Rel. int.
29.50, 3.028, 100
34.03, 2.635, 17
34.27, 2.617, 34
49.07, 1.857, 24
58.14, 1.587, 15
58.46, 1.579, 29

Crystal structure
Lattice parameters (Å, degrees): 5.269 11.107 7.397 90.00 90.00 90.00
Positions (direct):
Pr: 0.250 0.083 0.125
Pr: 0.250 0.084 0.625
Pr: 0.250 0.416 0.625
Pr: 0.250 0.417 0.125
Pr: 0.250 0.750 0.625
Pr: 0.750 0.250 0.375
Pr: 0.750 0.583 0.875
Pr: 0.750 0.584 0.375
Pr: 0.750 0.916 0.375
Pr: 0.750 0.917 0.875
Nd: 0.250 0.750 0.124
Nd: 0.750 0.250 0.876

The following is a simulated powder X-ray diffraction pattern of Pr7Nd3. It was derived from a cell relaxed with PBE, using a wavelength of 1.5418 Å.
Neutral-atom scattering factors, no anomalous dispersion.

Top 6 peaks for 10° ≤ 2θ ≤ 90°, low angle first:
2θ/deg, d_spacing, Rel. int.
29.55, 3.023, 100
34.21, 2.621, 34
34.32, 2.613, 17
49.24, 1.851, 30
58.41, 1.580, 29
79.87, 1.201, 15

Crystal structure
Lattice parameters (Å, degrees): 9.813 9.813 7.405 100.90 100.90 30.89
Positions (direct):
Pr: 0.000 0.000 0.000
Pr: 0.200 0.200 0.600
Pr: 0.400 0.400 0.200
Pr: 0.400 0.400 0.700
Pr: 0.600 0.600 0.300
Pr: 0.600 0.600 0.800
Pr: 0.800 0.800 0.400
Nd: 0.000 0.000 0.500
Nd: 0.200 0.200 0.100
Nd: 0.800 0.800 0.900

The following is a simulated powder X-ray diffraction pattern of PrNd. It was derived from a cell relaxed with PBE, using a wavelength of 1.5418 Å.
Neutral-atom scattering factors, no anomalous dispersion.

Top 6 peaks for 10° ≤ 2θ ≤ 90°, low angle first:
2θ/deg, d_spacing, Rel. int.
28.71, 3.109, 44
29.90, 2.988, 34
31.56, 2.835, 100
35.85, 2.505, 24
48.99, 1.859, 26
58.46, 1.579, 31

Crystal structure
Lattice parameters (Å, degrees): 3.718 3.718 11.953 90.00 90.00 120.00
Positions (direct):
Pr: 0.000 0.000 0.000
Pr: 0.000 0.000 0.500
Nd: 0.333 0.667 0.250
Nd: 0.667 0.333 0.750

The following is a simulated powder X-ray diffraction pattern of PrNd4. It was derived from a cell relaxed with PBE, using a wavelength of 1.5418 Å.
Neutral-atom scattering factors, no anomalous dispersion.

Top 6 peaks for 10° ≤ 2θ ≤ 90°, low angle first:
2θ/deg, d_spacing, Rel. int.
29.65, 3.013, 100
34.36, 2.610, 51
49.39, 1.845, 36
58.67, 1.574, 43
80.16, 1.197, 18
82.69, 1.167, 16

Crystal structure
Lattice parameters (Å, degrees): 8.251 8.251 5.221 90.00 90.00 90.00
Positions (direct):
Pr: 0.000 0.000 0.000
Pr: 0.500 0.500 0.500
Nd: 0.100 0.300 0.500
Nd: 0.200 0.600 0.000
Nd: 0.300 0.900 0.500
Nd: 0.400 0.200 0.000
Nd: 0.600 0.800 0.000
Nd: 0.700 0.100 0.500
Nd: 0.800 0.400 0.000
Nd: 0.900 0.700 0.500